Entry 1:
The following is a theoretical PXRD pattern of Mn3Cr2CuP6O24. It was derived from a DFT-relaxed cell (PBE+U, the Materials Project), using Cu Kα.
Peak positions follow from Bragg's law for the DFT cell and can differ from measured ones.

Structural model:
Unit cell a=8.6184 b=8.6184 c=20.3393 alpha=90.00 beta=90.00 gamma=120.00
Space group R3 (No. 146, hexagonal axes)
Asymmetric unit:
Mn  0.0000  0.0000  0.0000
Mn  0.0000  0.0000  0.2125
Mn  0.0000  0.0000  0.7114
Cr  0.0000  0.0000  0.3578
Cr  0.0000  0.0000  0.8559
Cu  0.0000  0.0000  0.5019
P  0.0011  0.7050  0.1057
P  0.0363  0.3689  0.2722
O  0.0048  0.2035  0.6684
O  0.0045  0.8014  0.1684
O  0.0089  0.1758  0.2843
O  0.0130  0.8348  0.7832
O  0.1282  0.4578  0.2086
O  0.1399  0.6753  0.7100
O  0.1658  0.6788  0.0935
O  0.1686  0.4917  0.5964

Most intense lines, 2θ from 15° to 90°, in order of falling intensity:
24.48°, rel. 1000, (2 -1 3)
20.61°, rel. 828, (1 1 0)
33.64°, rel. 666, (1 1 6)
36.10°, rel. 416, (3 0 0)
48.18°, rel. 286, (1 2 8)
50.17°, rel. 265, (2 2 6)
56.50°, rel. 236, (1 4 0)
63.35°, rel. 221, (1 4 6)

Entry 2:
The following is a theoretical PXRD pattern of Mn3CrCu2P6O24. It was derived from a DFT-relaxed cell (PBE+U, the Materials Project), using Cu Kα.
Peak positions follow from Bragg's law for the DFT cell and can differ from measured ones.

Structural model:
Unit cell a=8.5134 b=8.5134 c=20.9155 alpha=90.00 beta=90.00 gamma=120.00
Space group R3 (No. 146, hexagonal axes)
Asymmetric unit:
Mn  0.0000  0.0000  0.0000
Mn  0.0000  0.0000  0.2153
Mn  0.0000  0.0000  0.7153
Cr  0.0000  0.0000  0.4989
Cu  0.0000  0.0000  0.3587
Cu  0.0000  0.0000  0.8580
P  0.9997  0.2896  0.6084
P  0.9998  0.7114  0.1069
O  0.0073  0.8130  0.0457
O  0.0084  0.1998  0.5469
O  0.0224  0.1831  0.2796
O  0.0264  0.8414  0.7780
O  0.1440  0.4679  0.3368
O  0.1443  0.6762  0.8357
O  0.1697  0.6892  0.1024
O  0.1736  0.4837  0.6047

Most intense lines, 2θ from 15° to 90°, in order of falling intensity:
20.87°, rel. 1000, (1 1 0)
24.50°, rel. 926, (1 1 3)
33.23°, rel. 811, (1 1 6)
36.55°, rel. 411, (3 0 0)
47.70°, rel. 354, (1 2 8)
50.22°, rel. 261, (2 2 6)
57.26°, rel. 255, (4 1 0)
25.62°, rel. 203, (2 0 2)

Entry 3:
The following is a theoretical PXRD pattern of Cr2CuO7. It was derived from a DFT-relaxed cell (PBE+U, the Materials Project), using Cu Kα.
Peak positions follow from Bragg's law for the DFT cell and can differ from measured ones.

Structural model:
Unit cell a=11.209 b=9.214 c=10.155 alpha=90.00 beta=94.24 gamma=90.00
Space group P2/c (No. 13)
Asymmetric unit:
Cr  0.035  0.209  0.041
Cr  0.326  0.258  0.122
Cr  0.346  0.292  0.709
Cu  0.000  0.062  0.750
Cu  0.310  0.438  0.412
O  0.005  0.211  0.621
O  0.005  0.365  0.098
O  0.040  0.081  0.381
O  0.189  0.172  0.066
O  0.269  0.424  0.778
O  0.308  0.138  0.765
O  0.316  0.291  0.545
O  0.330  0.289  0.284
O  0.342  0.411  0.038
O  0.431  0.148  0.092
O  0.500  0.326  0.750

Most intense lines, 2θ from 15° to 90°, in order of falling intensity:
23.88°, rel. 1000, (3 0 0)
26.97°, rel. 696, (1 2 -2)
18.57°, rel. 450, (2 1 0)
28.15°, rel. 437, (0 1 3)
19.27°, rel. 218, (0 2 0)
31.42°, rel. 205, (2 2 2)
40.72°, rel. 191, (4 2 -2)
22.42°, rel. 157, (1 2 -1)

Entry 4:
The following is a theoretical PXRD pattern of CrCu2O6. It was derived from a DFT-relaxed cell (PBE+U, the Materials Project), using Cu Kα.
Peak positions follow from Bragg's law for the DFT cell and can differ from measured ones.

Structural model:
Unit cell a=5.807 b=5.142 c=14.921 alpha=90.00 beta=106.15 gamma=90.00
Space group P2_1/c (No. 14)
Asymmetric unit:
Cr  0.154  0.048  0.376
Cu  0.000  0.000  0.000
Cu  0.361  0.230  0.179
Cu  0.500  0.000  0.000
O  0.073  0.113  0.598
O  0.110  0.082  0.265
O  0.194  0.137  0.928
O  0.306  0.544  0.587
O  0.395  0.549  0.243
O  0.401  0.617  0.917

Most intense lines, 2θ from 15° to 90°, in order of falling intensity:
25.47°, rel. 1000, (0 1 3)
34.85°, rel. 422, (2 0 -4)
23.53°, rel. 346, (1 1 0)
37.72°, rel. 252, (2 0 2)
35.87°, rel. 228, (0 1 5)
28.70°, rel. 219, (1 1 2)
27.18°, rel. 210, (1 1 -3)
35.62°, rel. 186, (2 1 -1)

Entry 5:
The following is a theoretical PXRD pattern of Cr4CuO12. It was derived from a DFT-relaxed cell (PBE+U, the Materials Project), using Cu Kα.
Peak positions follow from Bragg's law for the DFT cell and can differ from measured ones.

Structural model:
Unit cell a=9.974 b=9.042 c=5.760 alpha=90.00 beta=109.58 gamma=90.00
Space group C2 (No. 5)
Asymmetric unit:
Cr  0.203  0.000  0.483
Cr  0.206  0.188  0.979
Cu  0.000  0.504  0.000
O  0.121  0.675  0.939
O  0.126  0.497  0.390
O  0.137  0.087  0.693
O  0.144  0.358  0.950
O  0.145  0.834  0.442
O  0.146  0.092  0.200

Most intense lines, 2θ from 15° to 90°, in order of falling intensity:
28.49°, rel. 1000, (2 2 -1)
25.65°, rel. 629, (0 2 1)
30.19°, rel. 552, (3 1 0)
19.64°, rel. 464, (0 2 0)
33.01°, rel. 451, (0 0 2)
18.89°, rel. 423, (2 0 0)
18.69°, rel. 412, (1 1 -1)
23.65°, rel. 348, (1 1 1)

Entry 6:
The following is a theoretical PXRD pattern of CrCu2O6. It was derived from a DFT-relaxed cell (PBE+U, the Materials Project), using Cu Kα.
Peak positions follow from Bragg's law for the DFT cell and can differ from measured ones.

Structural model:
Unit cell a=5.671 b=9.378 c=8.963 alpha=90.00 beta=90.00 gamma=90.00
Space group Cmcm (No. 63)
Asymmetric unit:
Cr  0.000  0.030  0.250
Cu  0.250  0.250  0.000
O  0.000  0.138  0.087
O  0.000  0.344  0.578
O  0.229  0.071  0.750

Most intense lines, 2θ from 15° to 90°, in order of falling intensity:
27.53°, rel. 1000, (0 2 2)
54.78°, rel. 236, (2 4 2)
18.28°, rel. 212, (1 1 0)
37.05°, rel. 208, (2 2 0)
18.93°, rel. 177, (0 2 0)
55.85°, rel. 162, (2 2 4)
19.81°, rel. 159, (0 0 2)
38.42°, rel. 149, (0 4 0)